Entry 1:
Sr3FeSe5: theoretical powder diffractogram (λ = 1.5418 Å (Cu Kα)), based on a cell relaxed with PBE.
No peak broadening, texture or thermal motion is included.

Atomic structure:
```
36
Lattice="11.959 0.000 0.000 0.000 9.608 0.000 0.000 0.000 8.625" Properties=species:S:1:pos:R:3 pbc="T T T"
Sr 0.138 2.402 0.789
Sr 2.174 0.136 5.097
Sr 2.174 4.668 5.097
Sr 3.806 4.940 0.784
Sr 3.806 9.472 0.784
Sr 5.841 7.206 5.101
Sr 6.118 2.402 3.524
Sr 8.154 0.136 7.841
Sr 8.154 4.668 7.841
Sr 9.785 4.940 3.528
Sr 9.785 9.472 3.528
Sr 11.821 7.206 7.837
Fe 1.152 7.206 2.667
Fe 4.827 2.402 6.979
Fe 7.132 7.206 1.646
Fe 10.807 2.402 5.959
Se 0.072 2.402 4.009
Se 0.652 5.249 1.556
Se 0.652 9.163 1.556
Se 2.556 2.402 7.446
Se 2.871 7.206 7.104
Se 3.109 2.402 2.791
Se 3.424 7.206 3.133
Se 5.328 0.445 5.868
Se 5.328 4.359 5.868
Se 5.907 7.206 8.321
Se 6.052 2.402 0.304
Se 6.632 5.249 2.757
Se 6.632 9.163 2.757
Se 8.535 2.402 5.492
Se 8.850 7.206 5.835
Se 9.089 2.402 1.522
Se 9.403 7.206 1.180
Se 11.307 0.445 7.070
Se 11.307 4.359 7.070
Se 11.887 7.206 4.617
```

Peak list (6 most intense, 2θ = 5–70°, most intense first)
2θ/deg  intensity
28.8  100
31.7  91
37.4  42
30.9  32
35.9  24
58.0  15

Entry 2:
Th2FeSe5: theoretical powder diffractogram (λ = 1.5418 Å (Cu Kα)), based on a cell relaxed with PBE.
No peak broadening, texture or thermal motion is included.

Atomic structure:
```
16
Lattice="7.840 -3.330 0.000 7.840 3.330 0.000 -0.948 0.000 7.508" Properties=species:S:1:pos:R:3 pbc="T T T"
Th 5.294 1.899 6.880
Th 8.964 1.899 4.382
Th 5.768 -1.899 3.126
Th 9.438 -1.899 0.628
Fe 3.446 1.665 3.754
Fe 3.920 -1.665 0.000
Se 7.603 2.755 1.877
Se 2.700 0.522 6.112
Se 5.889 0.821 4.259
Se 3.174 -0.522 2.358
Se 8.369 0.821 7.004
Se 6.363 -0.821 0.505
Se 11.559 0.522 5.150
Se 8.843 -0.821 3.249
Se 12.032 -0.522 1.396
Se 7.129 -2.755 5.631
```

Peak list (6 most intense, 2θ = 5–70°, most intense first)
2θ/deg  intensity
23.7  100
19.2  93
35.3  90
38.2  71
39.7  40
35.5  37

Entry 3:
TlFe3Se5: theoretical powder diffractogram (λ = 1.5418 Å (Cu Kα)), based on a cell relaxed with PBE.
No peak broadening, texture or thermal motion is included.

Atomic structure:
```
9
Lattice="5.528 0.000 0.000 -2.764 4.787 0.000 0.000 0.000 7.120" Properties=species:S:1:pos:R:3 pbc="T T T"
Tl 0.000 0.000 0.000
Fe -1.382 2.394 3.560
Fe 2.764 0.000 3.560
Fe 1.382 2.394 3.560
Se 0.000 0.000 3.560
Se 0.000 3.192 1.783
Se 0.000 3.192 5.337
Se 2.764 1.596 1.783
Se 2.764 1.596 5.337
```

Peak list (6 most intense, 2θ = 5–70°, most intense first)
2θ/deg  intensity
31.3  100
32.4  92
45.7  92
22.4  51
57.1  37
62.0  29

Entry 4:
U2FeSe5: theoretical powder diffractogram (λ = 1.5418 Å (Cu Kα)), based on a cell relaxed with PBE.
No peak broadening, texture or thermal motion is included.

Atomic structure:
```
16
Lattice="7.641 -3.199 0.000 7.641 3.199 0.000 -0.998 0.000 7.238" Properties=species:S:1:pos:R:3 pbc="T T T"
U 5.074 1.898 6.580
U 8.711 1.898 4.277
U 5.573 -1.898 2.961
U 9.210 -1.898 0.658
Fe 3.321 1.600 3.619
Fe 3.820 -1.600 0.000
Se 7.391 2.564 1.810
Se 2.565 0.557 5.884
Se 5.679 0.713 4.151
Se 3.064 -0.557 2.265
Se 8.105 0.713 6.707
Se 6.178 -0.713 0.532
Se 11.219 0.557 4.974
Se 8.604 -0.713 3.087
Se 11.718 -0.557 1.355
Se 6.892 -2.564 5.429
```

Peak list (6 most intense, 2θ = 5–70°, most intense first)
2θ/deg  intensity
19.9  100
24.4  97
39.6  81
36.5  69
33.4  47
40.7  41

Entry 5:
FeSi2: theoretical powder diffractogram (λ = 1.5418 Å (Cu Kα)), based on a cell relaxed with PBE.
No peak broadening, texture or thermal motion is included.

Atomic structure:
```
24
Lattice="4.928 -3.877 0.000 4.928 3.877 0.000 0.000 0.000 7.797" Properties=species:S:1:pos:R:3 pbc="T T T"
Fe 4.928 2.385 6.334
Fe 2.133 0.000 0.000
Fe 2.795 0.000 3.899
Fe 4.928 1.492 2.435
Fe 4.928 -1.492 5.362
Fe 7.062 0.000 3.899
Fe 7.724 0.000 0.000
Fe 4.928 -2.385 1.463
Si 1.247 0.347 5.667
Si 3.665 2.122 4.287
Si 3.665 1.755 0.388
Si 1.247 -0.347 2.130
Si 3.681 0.347 6.029
Si 6.192 2.122 4.287
Si 6.192 1.755 0.388
Si 3.681 -0.347 1.769
Si 6.175 0.347 6.029
Si 3.665 -1.755 7.409
Si 3.665 -2.122 3.510
Si 6.175 -0.347 1.769
Si 8.610 0.347 5.667
Si 6.192 -1.755 7.409
Si 6.192 -2.122 3.510
Si 8.610 -0.347 2.130
```

Peak list (6 most intense, 2θ = 5–70°, most intense first)
2θ/deg  intensity
49.7  100
29.2  85
29.3  85
49.1  58
50.7  38
37.6  33

Entry 6:
SmTmFe2Si2: theoretical powder diffractogram (λ = 1.5418 Å (Cu Kα)), based on a cell relaxed with PBE.
No peak broadening, texture or thermal motion is included.

Atomic structure:
```
6
Lattice="4.029 0.000 0.000 0.000 4.029 0.000 0.000 0.000 6.527" Properties=species:S:1:pos:R:3 pbc="T T T"
Sm 0.000 0.000 0.000
Tm 2.015 2.015 2.394
Fe 0.000 2.015 4.375
Fe 2.015 0.000 4.375
Si 0.000 0.000 3.223
Si 2.015 2.015 5.541
```

Peak list (6 most intense, 2θ = 5–70°, most intense first)
2θ/deg  intensity
26.0  100
42.1  66
35.4  63
45.0  49
34.3  43
31.4  36